The following is a simulated powder diffractogram of Sr7TeN6. It was derived from a cell relaxed with GGA-PBE, using Cu Ka.
Peak positions follow from Bragg's law for the DFT cell and can differ from measured ones.

Structure:
```
Sr7TeN6
1.0
-3.4566 6.3344 6.7509
3.4566 -6.3344 6.7509
3.4566 6.3344 -6.7509
Sr Te N
14 2 12
Cartesian
1.4959 0.6356 0.0000
4.3887 2.7405 -1.7534
0.9321 3.5940 -1.7534
0.0000 0.0000 3.3754
4.3887 2.7405 1.7534
0.9321 3.5940 1.7534
1.4959 -0.6356 6.7509
1.9608 6.9701 0.0000
2.5246 2.7405 4.9974
-0.9321 3.5940 4.9974
0.0000 0.0000 10.1263
2.5246 2.7405 8.5043
-0.9321 3.5940 8.5043
1.9608 5.6988 6.7509
3.4566 0.0000 3.3754
0.0000 6.3344 3.3754
4.8642 -1.4663 2.5106
2.6653 -4.4581 6.7509
2.0491 -1.4663 4.2402
2.0491 1.4663 2.5106
2.6653 4.4581 0.0000
1.4076 7.8007 -2.5106
2.0491 -1.4663 9.2615
0.7913 1.8764 6.7509
1.4076 4.8682 4.2402
1.4076 7.8007 2.5106
0.7913 10.7925 0.0000
-1.4076 7.8007 4.2402
```

The 6 most intense peaks (2θ from 10° to 90°), by angle:
2θ (°)	I/Imax
27.55	36
28.18	23
29.02	27
30.00	100
31.78	39
32.35	43

The following is a simulated powder diffractogram of Sr7TiN6. It was derived from a cell relaxed with GGA-PBE, using Cu Ka.
Peak positions follow from Bragg's law for the DFT cell and can differ from measured ones.

Structure:
```
Sr7TiN6
1.0
11.7751 0.0000 0.0000
0.0000 6.6882 0.0000
0.0000 0.0000 13.9223
Sr Ti N
28 4 24
Cartesian
0.0000 0.3542 3.4806
0.0000 6.3340 10.4417
0.4363 1.5642 7.2421
0.4363 5.1239 0.2809
2.4516 2.6067 1.6803
2.4516 4.0814 8.6414
2.7197 2.2742 12.1518
2.7197 4.4140 5.1906
3.1679 1.0699 5.1906
3.1679 5.6183 12.1518
3.4360 0.7374 8.6414
3.4360 5.9508 1.6803
5.4513 1.7799 0.2809
5.4513 4.9083 7.2421
5.8876 2.9899 10.4417
5.8876 3.6983 3.4806
6.3238 1.7799 6.6802
6.3238 4.9083 13.6414
8.3391 0.7374 12.2420
8.3391 5.9508 5.2809
8.6072 1.0699 1.7705
8.6072 5.6183 8.7316
9.0555 2.2742 8.7316
9.0555 4.4140 1.7705
9.3236 2.6067 5.2809
9.3236 4.0814 12.2420
11.3389 1.5642 13.6414
11.3389 5.1239 6.6802
0.0000 2.9547 10.4417
0.0000 3.7335 3.4806
5.8876 0.3894 3.4806
5.8876 6.2988 10.4417
0.6877 2.5828 4.8939
0.6877 4.1053 11.8551
1.4641 1.7822 9.8199
1.4641 4.9059 2.8588
1.9332 0.6099 13.8848
1.9332 6.0782 6.9237
3.9544 2.7341 6.9237
3.9544 3.9540 13.8848
4.4235 1.5618 2.8588
4.4235 5.1263 9.8199
5.1999 0.7613 11.8551
5.1999 5.9269 4.8939
6.5753 0.7613 9.0284
6.5753 5.9269 2.0672
7.3516 1.5618 4.1024
7.3516 5.1263 11.0635
7.8207 2.7341 0.0375
7.8207 3.9540 6.9986
9.8420 0.6099 6.9986
9.8420 6.0782 0.0375
10.3111 1.7822 11.0635
10.3111 4.9059 4.1024
11.0874 2.5828 2.0672
11.0874 4.1053 9.0284
```

The 6 most intense peaks (2θ from 10° to 90°), by angle:
2θ (°)	I/Imax
28.48	28
29.83	100
30.36	27
33.40	29
33.90	53
42.95	24

The following is a simulated powder diffractogram of Sr3Ti3N5. It was derived from a cell relaxed with GGA-PBE, using Cu Ka.
Peak positions follow from Bragg's law for the DFT cell and can differ from measured ones.

Structure:
```
Sr3Ti3N5
1.0
5.9716 0.0000 0.0000
-1.5901 7.7899 0.0000
-2.0966 -3.4371 7.7167
Sr Ti N
6 6 10
Cartesian
-0.4413 1.3718 2.9702
-0.6981 -1.0862 5.5916
-0.1961 6.9424 0.7471
2.4810 -2.5895 6.9696
2.9829 5.4390 2.1251
2.7261 2.9810 4.7465
0.2535 3.4658 0.7354
0.1236 4.7036 3.6319
-0.2581 2.1231 6.2110
2.5429 2.2297 1.5057
2.1612 -0.3508 4.0848
2.0313 0.8871 6.9812
-1.9855 1.3065 6.8056
0.9981 1.6742 0.3139
0.7506 -1.3579 3.2208
-0.7027 3.5852 5.0138
1.3117 3.5210 2.4668
0.9732 0.8318 5.2499
2.9875 0.7676 2.7028
1.5343 5.7107 4.4959
1.2867 2.6786 7.4028
4.2704 3.0463 0.9111
```

The 6 most intense peaks (2θ from 10° to 90°), by angle:
2θ (°)	I/Imax
29.06	46
30.96	100
31.69	56
33.14	60
34.93	29
38.49	22

The following is a simulated powder diffractogram of Sr3TiN3. It was derived from a cell relaxed with GGA-PBE, using Cu Ka.
Peak positions follow from Bragg's law for the DFT cell and can differ from measured ones.

Structure:
```
Sr3TiN3
1.0
7.8679 0.0000 0.0000
-3.9339 6.8138 0.0000
0.0000 0.0000 5.4014
Sr Ti N
6 2 6
Cartesian
-0.7324 2.4454 1.3504
-1.4500 6.2254 1.3504
1.7516 1.8570 4.0510
2.1824 4.9568 1.3504
5.3839 0.5884 4.0510
4.6663 4.3684 4.0510
0.0000 4.5425 4.0510
3.9339 2.2713 1.3504
-0.6657 2.7467 4.0510
-1.2223 6.0170 4.0510
2.0459 1.9499 1.3504
1.8881 4.8639 4.0510
5.1563 0.7968 1.3504
4.5997 4.0671 1.3504
```

The 6 most intense peaks (2θ from 10° to 90°), by angle:
2θ (°)	I/Imax
28.06	100
31.04	86
33.17	59
34.84	61
48.87	44
59.72	25

The following is a simulated powder diffractogram of Sr3V2N4. It was derived from a cell relaxed with GGA-PBE, using Cu Ka.
Peak positions follow from Bragg's law for the DFT cell and can differ from measured ones.

Structure:
```
Sr3V2N4
1.0
5.7943 -4.3111 0.0000
5.7943 4.3111 0.0000
-0.2711 0.0000 5.6917
Sr V N
6 4 8
Cartesian
5.5910 3.4221 4.2688
4.2863 1.1260 2.5774
7.1668 1.1260 0.2685
4.1508 -1.1260 5.4233
7.0312 -1.1260 3.1143
5.7265 -3.4221 1.4229
2.1317 1.0470 5.2391
2.2672 -1.0470 2.3932
9.0503 1.0470 3.2985
9.1859 -1.0470 0.4526
1.8392 0.5101 3.4399
3.9853 1.5654 5.5505
1.9748 -0.5101 0.5941
7.1967 1.5654 2.9871
4.1209 -1.5654 2.7047
9.3428 0.5101 5.0977
7.3322 -1.5654 0.1412
9.4783 -0.5101 2.2518
```

The 6 most intense peaks (2θ from 10° to 90°), by angle:
2θ (°)	I/Imax
29.23	57
30.63	100
33.71	38
40.34	31
41.89	56
45.26	19

The following is a simulated powder diffractogram of Sr2VN3. It was derived from a cell relaxed with GGA-PBE, using Cu Ka.
Peak positions follow from Bragg's law for the DFT cell and can differ from measured ones.

Structure:
```
Sr2VN3
1.0
2.8778 -5.5370 0.0000
2.8778 5.5370 0.0000
-0.1697 0.0000 12.3605
Sr V N
8 4 12
Cartesian
1.2797 2.1866 10.5589
1.3325 1.2244 5.2231
1.2476 -1.2244 11.4034
1.3645 -2.1866 4.3786
4.2214 2.1866 7.9818
4.3383 1.2244 0.9571
4.2535 -1.2244 7.1373
4.3063 -2.1866 1.8016
1.3616 0.0301 8.2067
1.4464 -0.0301 2.0265
4.1396 0.0301 10.3340
4.2244 -0.0301 4.1537
2.7506 5.3130 9.2704
1.5132 1.7805 7.8200
1.3560 0.9913 0.5704
1.2712 -0.9913 6.7506
1.5981 -1.7805 1.6398
2.8354 0.5865 3.0901
2.7506 -0.5865 9.2704
3.9879 1.7805 10.7207
4.3148 0.9913 5.6098
4.2299 -0.9913 11.7901
4.0727 -1.7805 4.5405
2.8354 -5.3130 3.0901
```

The 6 most intense peaks (2θ from 10° to 90°), by angle:
2θ (°)	I/Imax
28.89	36
31.08	100
32.15	58
32.34	62
33.17	36
39.94	34